(1)
# Mg5Si9
Simulated XRD peak list, Cu Kα (λ = 1.5418 Å). Input: a cell relaxed with PBE.

Top 8 peaks for 15 to 90 degrees two-theta, most intense first:
d (Å)	2θ (°)	intensity	hkl
2.882	31.03	100	1 2 3
2.551	35.17	79	1 2 -3
2.308	39.03	70	1 -2 2
2.416	37.22	55	2 0 4
2.991	29.87	49	-1 1 2
2.790	32.08	45	2 0 -1
3.268	27.29	45	2 1 2
2.240	40.26	43	-2 1 1

Cell and atoms:
```
data_Mg5Si9
_chemical_formula_sum 'Mg10 Si18'
_cell_length_a 6.8711
_cell_length_b 7.1745
_cell_length_c 12.8113
_cell_angle_alpha 83.93
_cell_angle_beta 77.00
_cell_angle_gamma 62.89
_space_group_name_H-M_alt 'P 1'
_space_group_IT_number 1
loop_
_space_group_symop_operation_xyz
'x,y,z'
loop_
_atom_site_label
_atom_site_type_symbol
_atom_site_fract_x
_atom_site_fract_y
_atom_site_fract_z
Mg1 Mg 0.0000 0.0000 0.0000
Mg2 Mg 0.0280 0.1421 0.7250
Mg3 Mg 0.1115 0.8131 0.2216
Mg4 Mg 0.3001 0.6346 0.6325
Mg5 Mg 0.4086 0.4083 0.0610
Mg6 Mg 0.5113 0.1699 0.6986
Mg7 Mg 0.5468 0.0370 0.2713
Mg8 Mg 0.6550 0.2837 0.4479
Mg9 Mg 0.8046 0.5917 0.6071
Mg10 Mg 0.8507 0.7716 0.8052
Si1 Si 0.0181 0.4175 0.0089
Si2 Si 0.0441 0.2855 0.3175
Si3 Si 0.1601 0.5013 0.3900
Si4 Si 0.1733 0.1481 0.1384
Si5 Si 0.2004 0.0380 0.4643
Si6 Si 0.2330 0.3053 0.5517
Si7 Si 0.2754 0.4835 0.8623
Si8 Si 0.4325 0.7180 0.9237
Si9 Si 0.4351 0.8361 0.7459
Si10 Si 0.4688 0.4413 0.2490
Si11 Si 0.5331 0.9431 0.0274
Si12 Si 0.5547 0.7292 0.4448
Si13 Si 0.6419 0.1593 0.8885
Si14 Si 0.7066 0.5766 0.2733
Si15 Si 0.8000 0.4125 0.8910
Si16 Si 0.8357 0.7310 0.1166
Si17 Si 0.8429 0.8425 0.4231
Si18 Si 0.9229 0.9449 0.5758
```

***

(2)
# Gd3B7W
Simulated XRD peak list, Cu Kα (λ = 1.5418 Å). Input: a cell relaxed with PBE.

Top 8 peaks for 15 to 90 degrees two-theta, most intense first:
d (Å)	2θ (°)	intensity	hkl
3.411	26.12	100	1 1 0
2.324	38.75	83	1 1 3
3.078	29.01	74	0 4 2
2.954	30.26	71	0 2 3
2.300	39.17	65	1 5 1
2.494	36.01	40	0 4 3
2.690	33.31	33	0 6 0
2.152	41.98	28	1 3 3

Cell and atoms:
```
data_Gd3B7W
_chemical_formula_sum 'Gd12 B28 W4'
_cell_length_a 3.4900
_cell_length_b 16.1410
_cell_length_c 9.5213
_cell_angle_alpha 90.00
_cell_angle_beta 90.00
_cell_angle_gamma 90.00
_space_group_name_H-M_alt 'C m c m'
_space_group_IT_number 63
_space_group_name_Hall '-C 2c 2'
loop_
_atom_site_label
_atom_site_type_symbol
_atom_site_fract_x
_atom_site_fract_y
_atom_site_fract_z
Gd1 Gd 0.0000 0.1067 0.0614
Gd2 Gd 0.0000 0.2436 0.7500
B1 B 0.0000 0.2729 0.0322
B2 B 0.0000 0.3656 0.1474
B3 B 0.0000 0.4583 0.7500
B4 B 0.0000 0.4795 0.0921
W1 W 0.0000 0.0538 0.7500
```